[1]
This entry pairs a crystal structure of Sr3Si2Ge3 with its theoretical powder diffraction line list. Radiation: Cu Ka. Structure: DFT lattice parameters and positions (PBE).
Neutral-atom scattering factors, no anomalous dispersion.

Structure:
```
data_Sr3Si2Ge3
_chemical_formula_sum 'Sr12 Si8 Ge12'
_cell_length_a 4.646
_cell_length_b 11.853
_cell_length_c 14.654
_cell_angle_alpha 90.00
_cell_angle_beta 90.00
_cell_angle_gamma 90.00
_symmetry_space_group_name_H-M 'C m c m'
_symmetry_Int_Tables_number 63
_symmetry_space_group_name_Hall '-C 2c 2'
loop_
_atom_site_label
_atom_site_type_symbol
_atom_site_fract_x
_atom_site_fract_y
_atom_site_fract_z
_atom_site_occupancy
Sr1 Sr 0.000 0.068 0.111 1
Sr2 Sr 0.000 0.352 0.250 1
Si1 Si 0.000 0.219 0.610 1
Ge1 Ge 0.000 0.337 0.036 1
Ge2 Ge 0.000 0.358 0.750 1
```

The 10 most intense peaks (10 to 90 degrees two-theta), in order of falling intensity:
| two_theta | Rel. int. | h k l |
| --- | --- | --- |
| 32.02 | 100 | 1 1 4 |
| 38.75 | 78 | 2 0 0 |
| 29.68 | 65 | 1 3 0 |
| 35.02 | 33 | 1 3 3 |
| 35.43 | 24 | 0 4 3 |
| 52.62 | 24 | 0 6 4 |
| 30.32 | 23 | 1 3 1 |
| 53.51 | 22 | 2 4 3 |
| 57.97 | 22 | 1 7 0 |
| 30.78 | 19 | 0 4 1 |

***

[2]
This entry pairs a crystal structure of HfNb6Sn with its theoretical powder diffraction line list. Radiation: Cu Ka. Structure: DFT lattice parameters and positions (PBE).
Neutral-atom scattering factors, no anomalous dispersion.

Structure:
```
data_HfNb6Sn
_chemical_formula_sum 'Hf1 Nb6 Sn1'
_cell_length_a 2.795
_cell_length_b 5.053
_cell_length_c 11.101
_cell_angle_alpha 90.00
_cell_angle_beta 90.00
_cell_angle_gamma 90.00
_symmetry_space_group_name_H-M 'P m m m'
_symmetry_Int_Tables_number 47
loop_
_symmetry_equiv_pos_as_xyz
'x,y,z'
'-x,-y,-z'
'-x,-y,z'
'x,y,-z'
'x,-y,-z'
'-x,y,z'
'-x,y,-z'
'x,-y,z'
loop_
_atom_site_label
_atom_site_type_symbol
_atom_site_fract_x
_atom_site_fract_y
_atom_site_fract_z
_atom_site_occupancy
Hf1 Hf 0.000 0.000 0.000 1
Nb1 Nb 0.000 0.500 0.368 1
Nb2 Nb 0.500 0.000 0.257 1
Nb3 Nb 0.500 0.500 0.126 1
Sn1 Sn 0.000 0.000 0.500 1
```

The 10 most intense peaks (10 to 90 degrees two-theta), in order of falling intensity:
| two_theta | Rel. int. | h k l |
| --- | --- | --- |
| 36.96 | 100 | 0 1 4 |
| 35.53 | 56 | 0 2 0 |
| 40.30 | 53 | 1 1 2 |
| 35.98 | 33 | 1 0 2 |
| 37.66 | 27 | 1 1 1 |
| 79.04 | 24 | 2 1 4 |
| 51.47 | 23 | 1 2 2 |
| 67.01 | 20 | 2 0 0 |
| 64.75 | 19 | 0 3 4 |
| 78.17 | 11 | 2 2 0 |

***

[3]
This entry pairs a crystal structure of Tb3Pr3Tm4 with its theoretical powder diffraction line list. Radiation: Cu Ka. Structure: DFT lattice parameters and positions (PBE).
Neutral-atom scattering factors, no anomalous dispersion.

Structure:
```
data_Tb3Pr3Tm4
_chemical_formula_sum 'Tb6 Pr6 Tm8'
_cell_length_a 3.669
_cell_length_b 13.395
_cell_length_c 13.455
_cell_angle_alpha 90.00
_cell_angle_beta 90.00
_cell_angle_gamma 90.00
_symmetry_space_group_name_H-M 'A m m 2'
_symmetry_Int_Tables_number 38
loop_
_symmetry_equiv_pos_as_xyz
'x,y,z'
'-x,-y,z'
'-x,y,z'
'x,-y,z'
'x,y+1/2,z+1/2'
'-x,-y+1/2,z+1/2'
'-x,y+1/2,z+1/2'
'x,-y+1/2,z+1/2'
loop_
_atom_site_label
_atom_site_type_symbol
_atom_site_fract_x
_atom_site_fract_y
_atom_site_fract_z
_atom_site_occupancy
Tb1 Tb 0.000 0.000 0.000 1
Tb2 Tb 0.500 0.246 0.074 1
Pr1 Pr 0.000 0.000 0.651 1
Pr2 Pr 0.000 0.175 0.325 1
Tm1 Tm 0.500 0.000 0.200 1
Tm2 Tm 0.500 0.000 0.449 1
Tm3 Tm 0.500 0.123 0.828 1
```

The 10 most intense peaks (10 to 90 degrees two-theta), in order of falling intensity:
| two_theta | Rel. int. | h k l |
| --- | --- | --- |
| 32.25 | 100 | 1 1 3 |
| 29.76 | 64 | 0 4 2 |
| 30.80 | 32 | 1 2 2 |
| 55.34 | 20 | 1 4 6 |
| 59.00 | 18 | 2 4 2 |
| 49.69 | 12 | 2 0 0 |
| 38.76 | 11 | 1 4 2 |
| 46.57 | 10 | 1 5 3 |
| 39.13 | 10 | 0 5 3 |
| 33.98 | 9 | 0 1 5 |

***

[4]
This entry pairs a crystal structure of AcDySO2 with its theoretical powder diffraction line list. Radiation: Cu Ka. Structure: DFT lattice parameters and positions (PBE).
Neutral-atom scattering factors, no anomalous dispersion.

Structure:
```
data_AcDySO2
_chemical_formula_sum 'Ac1 Dy1 S1 O2'
_cell_length_a 4.161
_cell_length_b 4.161
_cell_length_c 6.264
_cell_angle_alpha 90.00
_cell_angle_beta 90.00
_cell_angle_gamma 90.00
_symmetry_space_group_name_H-M 'P 4 m m'
_symmetry_Int_Tables_number 99
loop_
_symmetry_equiv_pos_as_xyz
'x,y,z'
'-y,x,z'
'-x,-y,z'
'y,-x,z'
'-x,y,z'
'y,x,z'
'x,-y,z'
'-y,-x,z'
loop_
_atom_site_label
_atom_site_type_symbol
_atom_site_fract_x
_atom_site_fract_y
_atom_site_fract_z
_atom_site_occupancy
Ac1 Ac 0.000 0.000 0.000 1
Dy1 Dy 0.500 0.500 0.360 1
S1 S 0.500 0.500 0.788 1
O1 O 0.000 0.500 0.231 1
```

The 10 most intense peaks (10 to 90 degrees two-theta), in order of falling intensity:
| two_theta | Rel. int. | h k l |
| --- | --- | --- |
| 25.70 | 100 | 1 0 1 |
| 30.38 | 44 | 1 1 0 |
| 35.89 | 43 | 1 0 2 |
| 51.21 | 32 | 2 1 1 |
| 14.14 | 31 | 0 0 1 |
| 43.50 | 23 | 2 0 0 |
| 57.62 | 22 | 2 1 2 |
| 42.14 | 18 | 1 1 2 |
| 53.84 | 18 | 1 1 3 |
| 80.10 | 11 | 2 1 4 |

***

[5]
This entry pairs a crystal structure of Na4Np3InSe8 with its theoretical powder diffraction line list. Radiation: Cu Ka. Structure: DFT lattice parameters and positions (PBE).
Neutral-atom scattering factors, no anomalous dispersion.

Structure:
```
data_Na4Np3InSe8
_chemical_formula_sum 'Na8 Np6 In2 Se16'
_cell_length_a 14.623
_cell_length_b 8.444
_cell_length_c 8.448
_cell_angle_alpha 90.00
_cell_angle_beta 125.29
_cell_angle_gamma 90.00
_symmetry_space_group_name_H-M 'C 1 2/m 1'
_symmetry_Int_Tables_number 12
loop_
_symmetry_equiv_pos_as_xyz
'x,y,z'
'-x,-y,-z'
'-x,y,-z'
'x,-y,z'
'x+1/2,y+1/2,z'
'-x+1/2,-y+1/2,-z'
'-x+1/2,y+1/2,-z'
'x+1/2,-y+1/2,z'
loop_
_atom_site_label
_atom_site_type_symbol
_atom_site_fract_x
_atom_site_fract_y
_atom_site_fract_z
_atom_site_occupancy
Na1 Na 0.000 0.000 0.000 1
Na2 Na 0.000 0.500 0.000 1
Na3 Na 0.250 0.250 0.000 1
Np1 Np 0.000 0.000 0.500 1
Np2 Np 0.250 0.250 0.500 1
In1 In 0.000 0.500 0.500 1
Se1 Se 0.008 0.247 0.272 1
Se2 Se 0.243 0.000 0.730 1
Se3 Se 0.245 0.500 0.728 1
```

The 10 most intense peaks (10 to 90 degrees two-theta), in order of falling intensity:
| two_theta | Rel. int. | h k l |
| --- | --- | --- |
| 29.93 | 100 | 4 0 0 |
| 42.84 | 74 | 0 4 0 |
| 12.84 | 67 | 0 0 1 |
| 24.73 | 34 | 4 0 -1 |
| 70.54 | 32 | 10 2 -2 |
| 53.14 | 26 | 4 4 0 |
| 78.47 | 24 | 12 0 -4 |
| 39.20 | 20 | 2 2 -3 |
| 44.91 | 19 | 6 2 -3 |
| 62.19 | 12 | 8 0 0 |

***

[6]
This entry pairs a crystal structure of K2SeO with its theoretical powder diffraction line list. Radiation: Cu Ka. Structure: DFT lattice parameters and positions (PBE).
Neutral-atom scattering factors, no anomalous dispersion.

Structure:
```
data_K2SeO
_chemical_formula_sum 'K8 Se4 O4'
_cell_length_a 4.385
_cell_length_b 16.433
_cell_length_c 5.754
_cell_angle_alpha 90.00
_cell_angle_beta 90.00
_cell_angle_gamma 90.00
_symmetry_space_group_name_H-M 'C m c 21'
_symmetry_Int_Tables_number 36
loop_
_symmetry_equiv_pos_as_xyz
'x,y,z'
'-x,-y,z+1/2'
'-x,y,z'
'x,-y,z+1/2'
'x+1/2,y+1/2,z'
'-x+1/2,-y+1/2,z+1/2'
'-x+1/2,y+1/2,z'
'x+1/2,-y+1/2,z+1/2'
loop_
_atom_site_label
_atom_site_type_symbol
_atom_site_fract_x
_atom_site_fract_y
_atom_site_fract_z
_atom_site_occupancy
K1 K 0.000 0.069 0.000 1
K2 K 0.000 0.236 0.372 1
Se1 Se 0.000 0.407 0.963 1
O1 O 0.000 0.339 0.698 1
```

The 10 most intense peaks (10 to 90 degrees two-theta), in order of falling intensity:
| two_theta | Rel. int. | h k l |
| --- | --- | --- |
| 30.38 | 100 | 1 3 1 |
| 18.83 | 22 | 0 2 1 |
| 32.70 | 15 | 0 6 0 |
| 41.18 | 14 | 2 0 0 |
| 31.09 | 14 | 0 0 2 |
| 45.74 | 12 | 0 6 2 |
| 56.93 | 9 | 1 9 1 |
| 54.88 | 9 | 1 3 3 |
| 63.22 | 9 | 2 6 2 |
| 26.08 | 8 | 1 3 0 |